Diffraction record for Li7Mn5O12. The powder diffractogram is computed, not measured: it uses the GGA+U geometry in the Materials Project and a wavelength of 1.5418 Å.
Lines closer than 0.1° are merged.

Largest 10 diffraction maxima, sorted by position, 10 to 90 degrees two-theta:
index	2θ (°)	Rel. int.
1 0 0	11.9	15
1 0 1	18.3	100
1 1 -2	35.4	29
3 0 -3	36.4	11
0 1 3	42.7	62
4 0 -2	44.6	26
1 1 4	56.4	9
0 2 0	62.2	9
4 1 1	63.4	15
4 1 -5	63.5	15

Atomic structure:
```
24
Lattice="8.124 0.000 0.000 0.000 2.986 0.000 -4.032 0.000 9.013" Properties=species:S:1:pos:R:3 pbc="T T T"
Li 0.000 0.000 0.000
Li -2.016 1.493 4.506
Li 0.025 0.000 2.893
Li 1.904 1.493 1.459
Li 4.062 0.000 0.000
Li 2.188 1.493 7.554
Li 4.067 0.000 6.119
Mn -2.076 1.493 7.561
Mn 0.042 0.000 6.065
Mn 2.046 1.493 4.506
Mn 4.050 0.000 2.948
Mn 6.168 1.493 1.452
O -0.140 1.493 1.534
O -1.913 0.000 6.156
O -2.006 0.000 8.812
O 0.110 1.493 4.553
O -0.065 1.493 7.490
O 2.130 0.000 3.004
O 1.962 0.000 6.009
O 4.158 1.493 1.523
O 3.982 1.493 4.460
O 6.098 0.000 0.201
O 6.005 0.000 2.857
O 4.232 1.493 7.479
```